1.
# ScPaO4
Simulated powder diffractogram, a wavelength of 1.5418 Å. Input: a crystal structure in the Materials Project, relaxed with GGA-PBE.
Kinematic intensities with the Lorentz-polarization factor, no thermal factor.

Structure:
Cell: 3.7355 3.7355 5.2120 Å, 90.00 90.00 90.00°
Space group P4/mmm (No. 123)
Inequivalent atoms, fractional coordinates:
Sc 0.0000 0.0000 0.0000 (multiplicity 1)
Pa 0.5000 0.5000 0.5000 (multiplicity 1)
O 0.0000 0.5000 0.2483 (multiplicity 4)

Peak list (10 most intense, 2θ from 10° to 90°, sorted by position)
hkl	Position (°2θ)	Rel. int.
0 0 1	17.0	39
1 0 0	23.8	36
1 0 1	29.4	100
1 1 0	33.9	19
1 1 1	38.2	23
1 0 2	42.3	17
2 0 0	48.8	19
1 1 2	49.1	36
2 1 1	58.0	30
1 0 3	58.6	14

=====

2.
# PaSiO3
Simulated powder diffractogram, a wavelength of 1.5418 Å. Input: a crystal structure in the Materials Project, relaxed with GGA-PBE.
Kinematic intensities with the Lorentz-polarization factor, no thermal factor.

Structure:
Cell: 3.8209 3.8209 3.8209 Å, 90.00 90.00 90.00°
Space group Pm-3m (No. 221)
Inequivalent atoms, fractional coordinates:
Pa 0.0000 0.0000 0.0000 (multiplicity 1)
Si 0.5000 0.5000 0.5000 (multiplicity 1)
O 0.0000 0.5000 0.5000 (multiplicity 3)

Peak list (10 most intense, 2θ from 10° to 90°, sorted by position)
hkl	Position (°2θ)	Rel. int.
1 0 0	23.3	67
1 1 0	33.2	100
1 1 1	40.9	40
2 0 0	47.6	29
2 1 0	53.6	32
2 1 1	59.2	40
2 2 0	69.6	18
3 0 0	74.5	16
3 1 0	79.3	18
3 1 1	84.0	14

=====

3.
# SmPaO4
Simulated powder diffractogram, a wavelength of 1.5418 Å. Input: a crystal structure in the Materials Project, relaxed with GGA-PBE.
Kinematic intensities with the Lorentz-polarization factor, no thermal factor.

Structure:
Cell: 5.4681 5.4681 10.8513 Å, 90.00 90.00 90.00°
Space group I4_1/amd (No. 141, origin choice 2)
Inequivalent atoms, fractional coordinates:
Sm 0.0000 0.2500 0.3750 (multiplicity 4)
Pa 0.0000 0.2500 0.8750 (multiplicity 4)
O 0.2338 0.0000 0.0000 (multiplicity 16)

Peak list (10 most intense, 2θ from 10° to 90°, sorted by position)
hkl	Position (°2θ)	Rel. int.
1 1 2	28.3	100
2 0 0	32.8	23
0 0 4	33.0	11
2 2 0	47.0	17
2 0 4	47.2	34
3 1 2	55.8	31
1 1 6	56.1	15
2 2 4	58.6	10
3 1 6	76.2	13
4 2 4	87.5	11

=====

4.
# SmPaO4
Simulated powder diffractogram, a wavelength of 1.5418 Å. Input: a crystal structure in the Materials Project, relaxed with GGA-PBE.
Kinematic intensities with the Lorentz-polarization factor, no thermal factor.

Structure:
Cell: 3.8409 3.8409 5.5014 Å, 90.00 90.00 90.00°
Space group P4/mmm (No. 123)
Inequivalent atoms, fractional coordinates:
Sm 0.0000 0.0000 0.0000 (multiplicity 1)
Pa 0.5000 0.5000 0.5000 (multiplicity 1)
O 0.0000 0.5000 0.2654 (multiplicity 4)

Peak list (10 most intense, 2θ from 10° to 90°, sorted by position)
hkl	Position (°2θ)	Rel. int.
1 0 1	28.3	100
0 0 2	32.6	12
1 1 0	33.0	23
1 1 2	47.0	34
2 0 0	47.3	17
1 0 3	55.5	16
2 1 1	56.1	31
2 0 2	58.6	10
2 1 3	75.9	13
3 1 2	87.9	11

=====

5.
# PaTaO3
Simulated powder diffractogram, a wavelength of 1.5418 Å. Input: a crystal structure in the Materials Project, relaxed with GGA-PBE.
Kinematic intensities with the Lorentz-polarization factor, no thermal factor.

Structure:
Cell: 4.0378 4.0378 4.0378 Å, 90.00 90.00 90.00°
Space group Pm-3m (No. 221)
Inequivalent atoms, fractional coordinates:
Pa 0.0000 0.0000 0.0000 (multiplicity 1)
Ta 0.5000 0.5000 0.5000 (multiplicity 1)
O 0.0000 0.5000 0.5000 (multiplicity 3)

Peak list (9 most intense, 2θ from 10° to 90°, sorted by position)
hkl	Position (°2θ)	Rel. int.
1 0 0	22.0	1
1 1 0	31.3	100
1 1 1	38.6	2
2 0 0	44.9	26
2 1 1	55.8	41
2 2 0	65.4	16
3 1 0	74.3	18
3 1 1	78.6	1
2 2 2	82.8	6

=====

6.
# YPaO4
Simulated powder diffractogram, a wavelength of 1.5418 Å. Input: a crystal structure in the Materials Project, relaxed with GGA-PBE.
Kinematic intensities with the Lorentz-polarization factor, no thermal factor.

Structure:
Cell: 5.4035 5.4035 10.7857 Å, 90.00 90.00 90.00°
Space group I4_1/amd (No. 141, origin choice 2)
Inequivalent atoms, fractional coordinates:
Y 0.0000 0.2500 0.3750 (multiplicity 4)
Pa 0.0000 0.2500 0.8750 (multiplicity 4)
O 0.2388 0.0000 0.0000 (multiplicity 16)

Peak list (10 most intense, 2θ from 10° to 90°, sorted by position)
hkl	Position (°2θ)	Rel. int.
1 0 1	18.4	26
1 1 2	28.6	100
2 0 0	33.2	32
2 1 3	45.2	8
2 2 0	47.6	53
3 1 2	56.5	45
2 2 4	59.3	9
3 3 2	77.0	18
4 2 0	79.3	8
4 2 4	88.7	11

=====

7.
# YPaO4
Simulated powder diffractogram, a wavelength of 1.5418 Å. Input: a crystal structure in the Materials Project, relaxed with GGA-PBE.
Kinematic intensities with the Lorentz-polarization factor, no thermal factor.

Structure:
Cell: 3.8152 3.8152 5.4051 Å, 90.00 90.00 90.00°
Space group P4/mmm (No. 123)
Inequivalent atoms, fractional coordinates:
Y 0.0000 0.0000 0.0000 (multiplicity 1)
Pa 0.5000 0.5000 0.5000 (multiplicity 1)
O 0.0000 0.5000 0.2606 (multiplicity 4)

Peak list (10 most intense, 2θ from 10° to 90°, sorted by position)
hkl	Position (°2θ)	Rel. int.
0 0 1	16.4	17
1 0 0	23.3	14
1 0 1	28.6	100
0 0 2	33.2	32
1 1 1	37.3	9
2 0 0	47.6	53
2 1 1	56.5	45
2 0 2	59.3	9
3 0 1	77.0	18
3 1 2	88.8	11

=====

8.
# PbO2
Simulated powder diffractogram, a wavelength of 1.5418 Å. Input: a crystal structure in the Materials Project, relaxed with GGA-PBE.
Kinematic intensities with the Lorentz-polarization factor, no thermal factor.

Structure:
Cell: 5.8680 7.3516 7.4699 Å, 104.33 90.40 90.57°
Space group P-1 (No. 2)
Inequivalent atoms, fractional coordinates:
Pb 0.2393 0.2191 0.1241 (multiplicity 2)
Pb 0.2520 0.8993 0.5794 (multiplicity 2)
Pb 0.2530 0.4326 0.6423 (multiplicity 2)
O 0.0029 0.6796 0.6223 (multiplicity 2)
O 0.0790 0.9303 0.1756 (multiplicity 2)
O 0.2392 0.7052 0.9821 (multiplicity 2)
O 0.2537 0.6992 0.2622 (multiplicity 2)
O 0.4668 0.8933 0.1606 (multiplicity 2)
O 0.4952 0.3146 0.3746 (multiplicity 2)

Peak list (10 most intense, 2θ from 10° to 90°, sorted by position)
hkl	Position (°2θ)	Rel. int.
0 0 1	12.2	41
-1 1 1	24.6	49
1 0 -2	28.9	82
1 0 2	29.1	98
1 -2 1	29.2	85
1 2 -1	29.4	100
2 0 0	30.5	87
0 2 1	30.6	52
0 2 -3	39.6	40
3 2 -1	53.6	36